Theoretical powder XRD pattern
Compound: Cs4Np3AgO12
Radiation: Cu Kα
Structure: a structure optimized by DFT (GGA-PBE)
No peak broadening, texture or thermal motion is included.

Atomic structure:
```
Cs4Np3AgO12
1.0
-4.455 4.455 4.455
4.455 -4.455 4.455
4.455 4.455 -4.455
Cs Np Ag O
4 3 1 12
Cartesian
2.228 2.228 -2.228
2.228 -2.228 2.228
-2.228 2.228 2.228
2.228 2.228 2.228
4.455 0.000 0.000
0.000 4.455 0.000
0.000 0.000 4.455
0.000 0.000 0.000
2.570 0.000 0.000
6.340 0.000 0.000
4.455 2.228 0.000
4.455 0.000 2.228
0.000 2.570 0.000
0.000 0.000 2.570
2.228 4.455 0.000
2.228 0.000 4.455
0.000 6.340 0.000
0.000 0.000 6.340
0.000 4.455 2.228
0.000 2.228 4.455
```

The 6 most intense peaks (2θ from 10° to 90°), low angle first:
Position (°2θ)  Rel. int.
28.33  100
40.50  27
50.16  41
58.61  18
66.35  19
80.70  22